The following is a computed XRD peak list of FeOs2. It was derived from a crystal structure in Alexandria, relaxed with PBE, using Cu Kα.
Lines closer than 0.1° are merged.

Structure:
```
12
Lattice="3.769 0.000 0.000 0.000 11.305 0.000 0.000 0.000 3.768" Properties=species:S:1:pos:R:3 pbc="T T T"
Fe 0.000 0.942 0.942
Fe 0.000 10.363 2.826
Fe 1.885 4.711 2.826
Fe 1.885 6.594 0.942
Os 0.000 2.785 2.826
Os 0.000 4.724 0.942
Os 0.000 6.581 2.826
Os 0.000 8.519 0.942
Os 1.885 0.929 2.826
Os 1.885 2.867 0.942
Os 1.885 8.438 2.826
Os 1.885 10.376 0.942
```

Top 10 peaks for 2θ from 10° to 80°, by angle:
d = 5.652 Å, 15.68 deg, rel. 5.3; d = 3.576 Å, 24.90 deg, rel. 11.3; d = 3.135 Å, 28.47 deg, rel. 9.9; d = 2.594 Å, 34.58 deg, rel. 3.7; d = 2.176 Å, 41.50 deg, rel. 100.0; d = 1.939 Å, 46.86 deg, rel. 3.2; d = 1.884 Å, 48.30 deg, rel. 48.5; d = 1.667 Å, 55.10 deg, rel. 2.9; d = 1.615 Å, 57.02 deg, rel. 3.1; d = 1.332 Å, 70.71 deg, rel. 30.9